No. 1
The following is a simulated powder X-ray diffraction pattern of ZnAg2Br4. It was derived from the GGA-PBE geometry in OQMD, using Cu Kα, 1.54184 Å.
No peak broadening, texture or thermal motion is included.

Structural model:
```
ZnAg2Br4
1.0
6.024 0.000 0.000
0.000 6.024 0.000
0.000 0.000 12.120
Zn Ag Br
2 4 8
Direct
0.000 0.000 0.000
0.500 0.500 0.500
0.000 0.000 0.500
0.000 0.500 0.750
0.500 0.000 0.250
0.500 0.500 0.000
0.217 0.757 0.122
0.243 0.217 0.878
0.257 0.283 0.378
0.283 0.743 0.622
0.717 0.257 0.622
0.743 0.717 0.378
0.757 0.783 0.878
0.783 0.243 0.122
```

Principal peaks in the range 2θ from 10° to 90°, by angle:
h k l, Position (°2θ), I (rel.)
1 0 1, 16.4, 13
1 1 2, 25.6, 100
1 0 3, 26.6, 11
2 1 1, 34.1, 13
2 0 4, 42.3, 49
2 2 0, 42.4, 23
1 1 6, 50.0, 15
3 1 2, 50.2, 27
1 3 6, 67.6, 11
2 4 4, 77.6, 13


No. 2
The following is a simulated powder X-ray diffraction pattern of KHfCuTeSe2. It was derived from the GGA-PBE geometry in OQMD, using Cu Kα, 1.54184 Å.
No peak broadening, texture or thermal motion is included.

Structural model:
```
KHfCuTeSe2
1.0
8.399 0.000 0.000
0.000 3.950 0.000
-3.988 0.000 9.608
K Hf Cu Te Se
2 2 2 2 4
Direct
0.248 0.250 0.229
0.752 0.750 0.771
0.189 0.750 0.659
0.811 0.250 0.341
0.419 0.250 0.898
0.581 0.750 0.102
0.241 0.750 0.946
0.759 0.250 0.054
0.052 0.750 0.376
0.405 0.250 0.658
0.595 0.750 0.342
0.948 0.250 0.624
```

Principal peaks in the range 2θ from 10° to 90°, by angle:
h k l, Position (°2θ), I (rel.)
1 0 -1, 11.6, 100
1 1 0, 25.3, 18
0 0 3, 27.9, 22
2 1 -1, 31.1, 35
2 1 0, 32.4, 25
1 1 -3, 34.4, 14
1 0 -4, 34.6, 13
3 1 -1, 39.7, 14
2 1 -4, 42.6, 25
0 2 0, 46.0, 15


What did the first record say?
The following is a simulated powder X-ray diffraction pattern of ZnAg2Br4. It was derived from the GGA-PBE geometry in OQMD, using Cu Kα, 1.54184 Å.
No peak broadening, texture or thermal motion is included.

Structural model:
```
ZnAg2Br4
1.0
6.024 0.000 0.000
0.000 6.024 0.000
0.000 0.000 12.120
Zn Ag Br
2 4 8
Direct
0.000 0.000 0.000
0.500 0.500 0.500
0.000 0.000 0.500
0.000 0.500 0.750
0.500 0.000 0.250
0.500 0.500 0.000
0.217 0.757 0.122
0.243 0.217 0.878
0.257 0.283 0.378
0.283 0.743 0.622
0.717 0.257 0.622
0.743 0.717 0.378
0.757 0.783 0.878
0.783 0.243 0.122
```

Principal peaks in the range 2θ from 10° to 90°, by angle:
h k l, Position (°2θ), I (rel.)
1 0 1, 16.4, 13
1 1 2, 25.6, 100
1 0 3, 26.6, 11
2 1 1, 34.1, 13
2 0 4, 42.3, 49
2 2 0, 42.4, 23
1 1 6, 50.0, 15
3 1 2, 50.2, 27
1 3 6, 67.6, 11
2 4 4, 77.6, 13


- Number 1 is which compound?
  ZnAg2Br4